(1)
Diffraction record for SrCdCl2. The X-ray diffraction stick pattern is computed, not measured: it uses a crystal structure in Alexandria, relaxed with PBE and Cu Ka.
Lines closer than 0.1° are merged.

Atomic structure:
```
data_SrCdCl2
_chemical_formula_sum 'Sr2 Cd2 Cl4'
_cell_length_a 17.8252
_cell_length_b 3.8810
_cell_length_c 4.3911
_cell_angle_alpha 90.00
_cell_angle_beta 104.16
_cell_angle_gamma 90.00
_symmetry_space_group_name_H-M 'C 1 m 1'
_symmetry_Int_Tables_number 8
loop_
_symmetry_equiv_pos_as_xyz
'x,y,z'
'x,-y,z'
'x+1/2,y+1/2,z'
'x+1/2,-y+1/2,z'
loop_
_atom_site_label
_atom_site_type_symbol
_atom_site_fract_x
_atom_site_fract_y
_atom_site_fract_z
_atom_site_occupancy
Sr1 Sr 0.0000 0.0000 0.0000 1
Cd1 Cd 0.2694 0.0000 0.7712 1
Cl1 Cl 0.1160 0.5000 0.1154 1
Cl2 Cl 0.4508 0.0000 0.4512 1
```

The 8 most intense peaks (5 to 70 degrees two-theta), by intensity:
- 2θ = 32.49°, intensity 100, (3 1 -1)
- 2θ = 25.51°, intensity 51, (4 0 -1)
- 2θ = 20.87°, intensity 44, (0 0 1)
- 2θ = 20.56°, intensity 43, (4 0 0)
- 2θ = 27.71°, intensity 41, (3 1 0)
- 2θ = 44.26°, intensity 30, (7 1 -1)
- 2θ = 23.49°, intensity 23, (1 1 0)
- 2θ = 34.75°, intensity 20, (5 1 0)

=====

(2)
Diffraction record for NaS2O6. The X-ray diffraction stick pattern is computed, not measured: it uses a crystal structure in Alexandria, relaxed with PBE and Cu Ka.
Lines closer than 0.1° are merged.

Atomic structure:
```
data_NaS2O6
_chemical_formula_sum 'Na4 S8 O24'
_cell_length_a 10.7105
_cell_length_b 9.4430
_cell_length_c 6.0395
_cell_angle_alpha 90.00
_cell_angle_beta 113.10
_cell_angle_gamma 90.00
_symmetry_space_group_name_H-M 'C 1 2/c 1'
_symmetry_Int_Tables_number 15
loop_
_symmetry_equiv_pos_as_xyz
'x,y,z'
'-x,-y,-z'
'-x,y,-z+1/2'
'x,-y,z+1/2'
'x+1/2,y+1/2,z'
'-x+1/2,-y+1/2,-z'
'-x+1/2,y+1/2,-z+1/2'
'x+1/2,-y+1/2,z+1/2'
loop_
_atom_site_label
_atom_site_type_symbol
_atom_site_fract_x
_atom_site_fract_y
_atom_site_fract_z
_atom_site_occupancy
Na1 Na 0.0000 0.1229 0.2500 1
S1 S 0.2122 0.4172 0.2070 1
O1 O 0.1394 0.0728 0.6728 1
O2 O 0.1503 0.4800 0.5065 1
O3 O 0.1554 0.2749 0.1676 1
```

The 8 most intense peaks (5 to 70 degrees two-theta), by intensity:
- 2θ = 26.71°, intensity 100, (2 2 -1)
- 2θ = 18.01°, intensity 66, (2 0 0)
- 2θ = 24.75°, intensity 55, (0 2 1)
- 2θ = 18.79°, intensity 42, (0 2 0)
- 2θ = 28.78°, intensity 37, (3 1 0)
- 2θ = 30.10°, intensity 37, (2 0 -2)
- 2θ = 23.24°, intensity 32, (1 1 1)
- 2θ = 38.15°, intensity 28, (4 0 -2)

=====

(3)
Diffraction record for InSbH. The X-ray diffraction stick pattern is computed, not measured: it uses a crystal structure in Alexandria, relaxed with PBE and Cu Ka.
Lines closer than 0.1° are merged.

Atomic structure:
```
data_InSbH
_chemical_formula_sum 'In2 Sb2 H2'
_cell_length_a 4.5309
_cell_length_b 4.7623
_cell_length_c 7.1950
_cell_angle_alpha 91.10
_cell_angle_beta 105.33
_cell_angle_gamma 90.02
_symmetry_space_group_name_H-M 'P 1'
_symmetry_Int_Tables_number 1
loop_
_symmetry_equiv_pos_as_xyz
'x,y,z'
loop_
_atom_site_label
_atom_site_type_symbol
_atom_site_fract_x
_atom_site_fract_y
_atom_site_fract_z
_atom_site_occupancy
In1 In 0.0000 0.0000 0.0000 1
In2 In 0.2443 0.9894 0.6019 1
Sb1 Sb 0.5661 0.4986 0.8076 1
Sb2 Sb 0.6324 0.0144 0.3247 1
H1 H 0.3675 0.5135 0.9853 1
H2 H 0.6463 0.3808 0.3390 1
```

The 8 most intense peaks (5 to 70 degrees two-theta), by intensity:
- 2θ = 28.30°, intensity 100, (1 0 -2)
- 2θ = 18.64°, intensity 62, (0 1 0)
- 2θ = 32.65°, intensity 58, (1 -1 1)
- 2θ = 33.09°, intensity 53, (1 1 1)
- 2θ = 44.33°, intensity 46, (-2 1 1)
- 2θ = 37.79°, intensity 44, (0 2 0)
- 2θ = 43.16°, intensity 31, (0 1 -3)
- 2θ = 26.83°, intensity 23, (1 0 1)

=====

(4)
Diffraction record for Ag8HgAs2O10. The X-ray diffraction stick pattern is computed, not measured: it uses a crystal structure in Alexandria, relaxed with PBE and Cu Ka.
Lines closer than 0.1° are merged.

Atomic structure:
```
data_Ag8HgAs2O10
_chemical_formula_sum 'Ag16 Hg2 As4 O20'
_cell_length_a 6.0322
_cell_length_b 6.0322
_cell_length_c 22.2868
_cell_angle_alpha 90.00
_cell_angle_beta 90.00
_cell_angle_gamma 120.00
_symmetry_space_group_name_H-M 'P 3 1 c'
_symmetry_Int_Tables_number 159
loop_
_symmetry_equiv_pos_as_xyz
'x,y,z'
'-y,x-y,z'
'-x+y,-x,z'
'y,x,z+1/2'
'x-y,-y,z+1/2'
'-x,-x+y,z+1/2'
loop_
_atom_site_label
_atom_site_type_symbol
_atom_site_fract_x
_atom_site_fract_y
_atom_site_fract_z
_atom_site_occupancy
Ag1 Ag 0.0117 0.3623 0.0000 1
Ag2 Ag 0.0587 0.6793 0.2451 1
Ag3 Ag 0.3333 0.6667 0.1364 1
Ag4 Ag 0.3333 0.6667 0.4081 1
Hg1 Hg 0.3333 0.6667 0.8530 1
As1 As 0.0000 0.0000 0.1208 1
As2 As 0.0000 0.0000 0.3705 1
O1 O 0.0000 0.0000 0.1992 1
O2 O 0.0000 0.0000 0.4486 1
O3 O 0.0079 0.2783 0.0978 1
O4 O 0.1361 0.3113 0.3441 1
O5 O 0.3333 0.6667 0.7592 1
O6 O 0.3333 0.6667 0.9460 1
```

The 8 most intense peaks (5 to 70 degrees two-theta), by intensity:
- 2θ = 33.79°, intensity 100, (1 1 4)
- 2θ = 30.71°, intensity 79, (2 -1 2)
- 2θ = 52.55°, intensity 36, (3 0 0)
- 2θ = 38.45°, intensity 33, (1 1 6)
- 2θ = 32.13°, intensity 33, (0 0 8)
- 2θ = 7.93°, intensity 24, (0 0 2)
- 2θ = 20.79°, intensity 24, (1 0 3)
- 2θ = 32.95°, intensity 23, (1 0 7)

=====

(5)
Diffraction record for La3TbNd4. The X-ray diffraction stick pattern is computed, not measured: it uses a crystal structure in Alexandria, relaxed with PBE and Cu Ka.
Lines closer than 0.1° are merged.

Atomic structure:
```
data_La3TbNd4
_chemical_formula_sum 'La6 Tb2 Nd8'
_cell_length_a 24.6555
_cell_length_b 3.7119
_cell_length_c 6.4154
_cell_angle_alpha 90.00
_cell_angle_beta 105.01
_cell_angle_gamma 90.00
_symmetry_space_group_name_H-M 'C 1 2/m 1'
_symmetry_Int_Tables_number 12
loop_
_symmetry_equiv_pos_as_xyz
'x,y,z'
'-x,-y,-z'
'-x,y,-z'
'x,-y,z'
'x+1/2,y+1/2,z'
'-x+1/2,-y+1/2,-z'
'-x+1/2,y+1/2,-z'
'x+1/2,-y+1/2,z'
loop_
_atom_site_label
_atom_site_type_symbol
_atom_site_fract_x
_atom_site_fract_y
_atom_site_fract_z
_atom_site_occupancy
La1 La 0.0000 0.0000 0.0000 1
La2 La 0.2501 0.0000 0.2503 1
Tb1 Tb 0.0000 0.5000 0.5000 1
Nd1 Nd 0.1238 0.0000 0.7913 1
Nd2 Nd 0.1245 0.5000 0.2919 1
```

The 8 most intense peaks (5 to 70 degrees two-theta), by intensity:
- 2θ = 31.66°, intensity 100, (6 0 -2)
- 2θ = 28.80°, intensity 44, (1 1 1)
- 2θ = 30.02°, intensity 34, (8 0 0)
- 2θ = 49.14°, intensity 26, (0 2 0)
- 2θ = 35.97°, intensity 24, (7 1 -1)
- 2θ = 54.34°, intensity 22, (14 0 -2)
- 2θ = 58.64°, intensity 21, (8 2 0)
- 2θ = 59.63°, intensity 14, (6 2 -2)

=====

(6)
Diffraction record for ZrU4O10. The X-ray diffraction stick pattern is computed, not measured: it uses a crystal structure in Alexandria, relaxed with PBE and Cu Ka.
Lines closer than 0.1° are merged.

Atomic structure:
```
data_ZrU4O10
_chemical_formula_sum 'Zr2 U8 O20'
_cell_length_a 3.7984
_cell_length_b 6.5724
_cell_length_c 15.6783
_cell_angle_alpha 86.00
_cell_angle_beta 83.04
_cell_angle_gamma 90.00
_symmetry_space_group_name_H-M 'P -1'
_symmetry_Int_Tables_number 2
loop_
_symmetry_equiv_pos_as_xyz
'x,y,z'
'-x,-y,-z'
loop_
_atom_site_label
_atom_site_type_symbol
_atom_site_fract_x
_atom_site_fract_y
_atom_site_fract_z
_atom_site_occupancy
Zr1 Zr 0.0987 0.1996 0.3017 1
U1 U 0.0000 0.5000 0.5000 1
U2 U 0.1998 0.9009 0.1013 1
U3 U 0.3007 0.6014 0.8976 1
U4 U 0.3991 0.3002 0.7008 1
U5 U 0.5000 0.0000 0.5000 1
O1 O 0.0261 0.1730 0.4470 1
O2 O 0.0753 0.5152 0.3485 1
O3 O 0.1237 0.8810 0.2535 1
O4 O 0.1725 0.2238 0.1560 1
O5 O 0.2240 0.5739 0.0512 1
O6 O 0.2748 0.9243 0.9495 1
O7 O 0.3256 0.2753 0.8479 1
O8 O 0.3757 0.6299 0.7473 1
O9 O 0.4243 0.9651 0.6522 1
O10 O 0.4750 0.3234 0.5509 1
```

The 8 most intense peaks (5 to 70 degrees two-theta), by intensity:
- 2θ = 28.78°, intensity 100, (0 2 2)
- 2θ = 47.90°, intensity 50, (2 0 1)
- 2θ = 56.84°, intensity 42, (2 2 3)
- 2θ = 33.36°, intensity 36, (1 1 4)
- 2θ = 59.60°, intensity 8, (2 2 -2)
- 2θ = 56.90°, intensity 4, (0 4 -1)
- 2θ = 59.67°, intensity 3, (0 4 4)
- 2θ = 14.29°, intensity 2, (0 1 1)

=====

(7)
Diffraction record for BaYSb2. The X-ray diffraction stick pattern is computed, not measured: it uses a crystal structure in Alexandria, relaxed with PBE and Cu Ka.
Lines closer than 0.1° are merged.

Atomic structure:
```
data_BaYSb2
_chemical_formula_sum 'Ba2 Y2 Sb4'
_cell_length_a 12.4092
_cell_length_b 4.4660
_cell_length_c 4.9224
_cell_angle_alpha 90.00
_cell_angle_beta 94.83
_cell_angle_gamma 90.00
_symmetry_space_group_name_H-M 'C 1 m 1'
_symmetry_Int_Tables_number 8
loop_
_symmetry_equiv_pos_as_xyz
'x,y,z'
'x,-y,z'
'x+1/2,y+1/2,z'
'x+1/2,-y+1/2,z'
loop_
_atom_site_label
_atom_site_type_symbol
_atom_site_fract_x
_atom_site_fract_y
_atom_site_fract_z
_atom_site_occupancy
Ba1 Ba 0.0000 0.0000 0.0000 1
Y1 Y 0.2474 0.5000 0.5182 1
Sb1 Sb 0.2651 0.0000 0.0338 1
Sb2 Sb 0.4655 0.0000 0.4890 1
```

The 8 most intense peaks (5 to 70 degrees two-theta), by intensity:
- 2θ = 27.56°, intensity 100, (1 1 -1)
- 2θ = 35.79°, intensity 69, (3 1 1)
- 2θ = 28.88°, intensity 67, (4 0 0)
- 2θ = 33.80°, intensity 66, (3 1 -1)
- 2θ = 28.37°, intensity 57, (1 1 1)
- 2θ = 36.64°, intensity 42, (0 0 2)
- 2θ = 40.39°, intensity 34, (0 2 0)
- 2θ = 50.41°, intensity 28, (4 2 0)

=====

(8)
Diffraction record for Th2FeSiIr6. The X-ray diffraction stick pattern is computed, not measured: it uses a crystal structure in Alexandria, relaxed with PBE and Cu Ka.
Lines closer than 0.1° are merged.

Atomic structure:
```
data_Th2FeSiIr6
_chemical_formula_sum 'Th8 Fe4 Si4 Ir24'
_cell_length_a 9.1302
_cell_length_b 9.1302
_cell_length_c 9.1302
_cell_angle_alpha 90.00
_cell_angle_beta 90.00
_cell_angle_gamma 90.00
_symmetry_space_group_name_H-M 'F m -3 m'
_symmetry_Int_Tables_number 225
_symmetry_space_group_name_Hall '-F 4 2 3'
loop_
_atom_site_label
_atom_site_type_symbol
_atom_site_fract_x
_atom_site_fract_y
_atom_site_fract_z
_atom_site_occupancy
Th1 Th 0.2500 0.2500 0.2500 1
Fe1 Fe 0.0000 0.0000 0.0000 1
Si1 Si 0.0000 0.0000 0.5000 1
Ir1 Ir 0.0000 0.0000 0.2551 1
```

The 8 most intense peaks (5 to 70 degrees two-theta), by intensity:
- 2θ = 34.01°, intensity 100, (2 2 2)
- 2θ = 39.48°, intensity 63, (4 0 0)
- 2θ = 57.06°, intensity 43, (4 4 0)
- 2θ = 68.12°, intensity 41, (6 2 2)
- 2θ = 27.63°, intensity 3, (2 2 0)
- 2θ = 48.87°, intensity 1, (4 2 2)
- 2θ = 43.19°, intensity 1, (3 3 1)
- 2θ = 64.56°, intensity 1, (6 2 0)

=====

(9)
Diffraction record for Ce2TmSi3Rh4. The X-ray diffraction stick pattern is computed, not measured: it uses a crystal structure in Alexandria, relaxed with PBE and Cu Ka.
Lines closer than 0.1° are merged.

Atomic structure:
```
data_Ce2TmSi3Rh4
_chemical_formula_sum 'Ce2 Tm1 Si3 Rh4'
_cell_length_a 4.1109
_cell_length_b 4.1109
_cell_length_c 10.9195
_cell_angle_alpha 90.00
_cell_angle_beta 90.00
_cell_angle_gamma 90.00
_symmetry_space_group_name_H-M 'P -4 m 2'
_symmetry_Int_Tables_number 115
loop_
_symmetry_equiv_pos_as_xyz
'x,y,z'
'y,-x,-z'
'-x,-y,z'
'-y,x,-z'
'-x,y,z'
'-y,-x,-z'
'x,-y,z'
'y,x,-z'
loop_
_atom_site_label
_atom_site_type_symbol
_atom_site_fract_x
_atom_site_fract_y
_atom_site_fract_z
_atom_site_occupancy
Ce1 Ce 0.0000 0.5000 0.2342 1
Tm1 Tm 0.0000 0.0000 0.5000 1
Si1 Si 0.0000 0.5000 0.8822 1
Si2 Si 0.5000 0.5000 0.5000 1
Rh1 Rh 0.0000 0.0000 0.0000 1
Rh2 Rh 0.0000 0.5000 0.6621 1
Rh3 Rh 0.5000 0.5000 0.0000 1
```

The 8 most intense peaks (5 to 70 degrees two-theta), by intensity:
- 2θ = 34.97°, intensity 100, (1 1 2)
- 2θ = 44.06°, intensity 40, (2 0 0)
- 2θ = 32.85°, intensity 37, (0 0 4)
- 2θ = 56.02°, intensity 21, (2 0 4)
- 2θ = 27.15°, intensity 18, (1 0 2)
- 2θ = 47.12°, intensity 17, (1 0 5)
- 2θ = 64.07°, intensity 13, (2 2 0)
- 2θ = 39.63°, intensity 13, (1 0 4)

=====

(10)
Diffraction record for Pu12Ir6Ru. The X-ray diffraction stick pattern is computed, not measured: it uses a crystal structure in Alexandria, relaxed with PBE and Cu Ka.
Lines closer than 0.1° are merged.

Atomic structure:
```
data_Pu12Ir6Ru
_chemical_formula_sum 'Pu36 Ir18 Ru3'
_cell_length_a 12.2247
_cell_length_b 12.2247
_cell_length_c 11.4546
_cell_angle_alpha 90.00
_cell_angle_beta 90.00
_cell_angle_gamma 120.00
_symmetry_space_group_name_H-M 'R -3'
_symmetry_Int_Tables_number 148
_symmetry_space_group_name_Hall '-R 3'
loop_
_atom_site_label
_atom_site_type_symbol
_atom_site_fract_x
_atom_site_fract_y
_atom_site_fract_z
_atom_site_occupancy
Pu1 Pu 0.0280 0.8167 0.3912 1
Pu2 Pu 0.0496 0.8426 0.8786 1
Ir1 Ir 0.0440 0.7767 0.6428 1
Ru1 Ru 0.0000 0.0000 0.0000 1
```

The 8 most intense peaks (5 to 70 degrees two-theta), by intensity:
- 2θ = 38.99°, intensity 100, (4 1 0)
- 2θ = 38.66°, intensity 81, (3 -1 4)
- 2θ = 34.32°, intensity 56, (4 -1 2)
- 2θ = 23.55°, intensity 55, (3 -1 1)
- 2θ = 27.19°, intensity 50, (1 2 2)
- 2θ = 32.39°, intensity 46, (1 0 4)
- 2θ = 56.07°, intensity 23, (2 4 4)
- 2θ = 29.22°, intensity 20, (2 2 0)

=====

(11)
Diffraction record for HfThZrN3. The X-ray diffraction stick pattern is computed, not measured: it uses a crystal structure in Alexandria, relaxed with PBE and Cu Ka.
Lines closer than 0.1° are merged.

Atomic structure:
```
data_HfThZrN3
_chemical_formula_sum 'Hf2 Th2 Zr2 N6'
_cell_length_a 5.7552
_cell_length_b 3.3610
_cell_length_c 8.7808
_cell_angle_alpha 90.00
_cell_angle_beta 102.81
_cell_angle_gamma 90.00
_symmetry_space_group_name_H-M 'P 1 21/m 1'
_symmetry_Int_Tables_number 11
loop_
_symmetry_equiv_pos_as_xyz
'x,y,z'
'-x,-y,-z'
'-x,y+1/2,-z'
'x,-y+1/2,z'
loop_
_atom_site_label
_atom_site_type_symbol
_atom_site_fract_x
_atom_site_fract_y
_atom_site_fract_z
_atom_site_occupancy
Hf1 Hf 0.2324 0.2500 0.4524 1
Th1 Th 0.3525 0.7500 0.8067 1
Zr1 Zr 0.1290 0.7500 0.1396 1
N1 N 0.0384 0.2500 0.6457 1
N2 N 0.2584 0.2500 0.0020 1
N3 N 0.4461 0.7500 0.3502 1
```

The 8 most intense peaks (5 to 70 degrees two-theta), by intensity:
- 2θ = 35.50°, intensity 100, (1 1 -2)
- 2θ = 33.92°, intensity 95, (1 1 1)
- 2θ = 31.30°, intensity 85, (2 0 -1)
- 2θ = 31.88°, intensity 44, (1 0 -3)
- 2θ = 28.90°, intensity 25, (1 0 2)
- 2θ = 56.25°, intensity 25, (3 1 0)
- 2θ = 64.31°, intensity 24, (2 2 -1)
- 2θ = 50.55°, intensity 23, (0 1 4)

=====

(12)
Diffraction record for LaC2. The X-ray diffraction stick pattern is computed, not measured: it uses a crystal structure in Alexandria, relaxed with PBE and Cu Ka.
Lines closer than 0.1° are merged.

Atomic structure:
```
data_LaC2
_chemical_formula_sum 'La4 C8'
_cell_length_a 6.8389
_cell_length_b 4.4097
_cell_length_c 7.1105
_cell_angle_alpha 90.00
_cell_angle_beta 105.22
_cell_angle_gamma 90.00
_symmetry_space_group_name_H-M 'C 1 2/c 1'
_symmetry_Int_Tables_number 15
loop_
_symmetry_equiv_pos_as_xyz
'x,y,z'
'-x,-y,-z'
'-x,y,-z+1/2'
'x,-y,z+1/2'
'x+1/2,y+1/2,z'
'-x+1/2,-y+1/2,-z'
'-x+1/2,y+1/2,-z+1/2'
'x+1/2,-y+1/2,z+1/2'
loop_
_atom_site_label
_atom_site_type_symbol
_atom_site_fract_x
_atom_site_fract_y
_atom_site_fract_z
_atom_site_occupancy
La1 La 0.0000 0.1980 0.2500 1
C1 C 0.2050 0.3645 0.9501 1
```

The 8 most intense peaks (5 to 70 degrees two-theta), by intensity:
- 2θ = 29.24°, intensity 100, (1 1 1)
- 2θ = 25.83°, intensity 83, (1 1 -1)
- 2θ = 32.33°, intensity 47, (2 0 -2)
- 2θ = 25.97°, intensity 45, (0 0 2)
- 2θ = 27.02°, intensity 40, (2 0 0)
- 2θ = 43.47°, intensity 32, (1 1 -3)
- 2θ = 44.82°, intensity 30, (3 1 -1)
- 2θ = 42.72°, intensity 18, (2 0 2)